[1]
The following is a theoretical XRD peak list of Pm2Pt. It was derived from a PBE-relaxed structure, using Cu Kα X-rays.
No peak broadening, texture or thermal motion is included.

Structure:
```
data_Pm2Pt
_chemical_formula_sum 'Pm8 Pt4'
_symmetry_space_group_name_H-M 'P n m a'
_symmetry_Int_Tables_number 62
_cell_length_a 7.3517
_cell_length_b 4.8903
_cell_length_c 9.0672
_cell_angle_alpha 90.00
_cell_angle_beta 90.00
_cell_angle_gamma 90.00
loop_
_symmetry_equiv_pos_as_xyz
'x,y,z'
'-x,-y,-z'
'-x+1/2,-y,z+1/2'
'x+1/2,y,-z+1/2'
'x+1/2,-y+1/2,-z+1/2'
'-x+1/2,y+1/2,z+1/2'
'-x,y+1/2,-z'
'x,-y+1/2,z'
loop_
_atom_site_label
_atom_site_fract_x
_atom_site_fract_y
_atom_site_fract_z
Pm1 0.0059 0.2500 0.1666
Pm2 0.1444 0.2500 0.5858
Pt1 0.2419 0.2500 0.9111
```

Main lines, in order of rising 2θ (5 to 70 degrees two-theta):
- (1 1 2), 29.49°, I 69.0
- (2 1 1), 32.02°, I 100.0
- (0 1 3), 34.90°, I 63.8
- (0 2 0), 36.76°, I 57.5
- (2 1 3), 42.93°, I 32.2
- (2 0 6), 66.95°, I 28.2

[2]
The following is a theoretical XRD peak list of Pm3Pt2. It was derived from a PBE-relaxed structure, using Cu Kα X-rays.
No peak broadening, texture or thermal motion is included.

Structure:
```
data_Pm3Pt2
_chemical_formula_sum 'Pm18 Pt12'
_symmetry_space_group_name_H-M 'C 1 2/m 1'
_symmetry_Int_Tables_number 12
_cell_length_a 18.2668
_cell_length_b 4.3676
_cell_length_c 10.9179
_cell_angle_alpha 90.00
_cell_angle_beta 97.85
_cell_angle_gamma 90.00
loop_
_symmetry_equiv_pos_as_xyz
'x,y,z'
'-x,-y,-z'
'-x,y,-z'
'x,-y,z'
'x+1/2,y+1/2,z'
'-x+1/2,-y+1/2,-z'
'-x+1/2,y+1/2,-z'
'x+1/2,-y+1/2,z'
loop_
_atom_site_label
_atom_site_fract_x
_atom_site_fract_y
_atom_site_fract_z
Pm1 0.0000 0.0000 0.0000
Pm2 0.0364 0.0000 0.6589
Pm3 0.1258 0.5000 0.2782
Pm4 0.1720 0.5000 0.9542
Pm5 0.2083 0.5000 0.6147
Pt1 0.0265 0.5000 0.8242
Pt2 0.1358 0.0000 0.4643
Pt3 0.1847 0.0000 0.1341
```

Main lines, in order of rising 2θ (5 to 70 degrees two-theta):
- (6 0 1), 31.90°, I 70.5
- (1 1 -3), 32.05°, I 62.3
- (3 1 -3), 34.06°, I 100.0
- (3 1 3), 37.00°, I 80.4
- (0 2 0), 41.34°, I 64.0
- (7 1 -2), 42.06°, I 59.4